The following is a computed XRD peak list of NdTmSbSe. It was derived from a structure optimized by DFT (GGA-PBE), using Cu Kα (λ = 1.5418 Å).

Crystal structure
```
NdTmSbSe
1.0
4.3288 0.0000 0.0000
0.0000 4.3288 0.0000
0.0000 0.0000 6.0198
Nd Tm Sb Se
1 1 1 1
Cartesian
0.0000 0.0000 0.0000
2.1644 2.1644 3.0099
2.1644 2.1644 0.0000
0.0000 0.0000 3.0099
```

Most intense lines, 5° ≤ 2θ ≤ 70°, in order of rising 2θ:
- (1 0 1), 25.34 deg, intensity 13
- (1 1 0), 29.18 deg, intensity 100
- (0 0 2), 29.68 deg, intensity 48
- (2 0 0), 41.73 deg, intensity 38
- (1 1 2), 42.10 deg, intensity 74
- (2 0 2), 52.04 deg, intensity 40
- (2 2 0), 60.49 deg, intensity 13
- (3 1 0), 68.55 deg, intensity 17
- (2 2 2), 68.82 deg, intensity 17
- (1 1 4), 69.62 deg, intensity 17